Entry 1:
NdIn2Ni2Sn: calculated XRD peak list (CuKα), based on a DFT-relaxed cell (PBE, Alexandria).
No peak broadening, texture or thermal motion is included.

Structure:
abc: 4.7190 4.7190 6.0780
angles: 90.00 90.00 90.00
Space group P4/mmm (No. 123)
One atom of each set of equivalent atoms:
Nd 0.0000 0.0000 0.0000 x1
In 0.5000 0.5000 0.2442 x2
Ni 0.0000 0.5000 0.5000 x2
Sn 0.0000 0.0000 0.5000 x1

Principal peaks in the range 10° ≤ 2θ ≤ 90°, in order of falling intensity:
- 35.12 deg, intensity 100, hkl 1 0 2
- 52.81 deg, intensity 64, hkl 2 1 2
- 38.14 deg, intensity 64, hkl 2 0 0
- 26.72 deg, intensity 55, hkl 1 1 0
- 55.04 deg, intensity 21, hkl 2 2 0
- 79.78 deg, intensity 20, hkl 3 2 2
- 74.24 deg, intensity 17, hkl 2 0 4
- 30.56 deg, intensity 15, hkl 1 1 1
- 66.99 deg, intensity 15, hkl 3 0 2
- 86.66 deg, intensity 12, hkl 2 2 4

=====

Entry 2:
NdNpIn6: calculated XRD peak list (CuKα), based on a DFT-relaxed cell (PBE, Alexandria).
No peak broadening, texture or thermal motion is included.

Structure:
abc: 4.6692 4.6692 9.3801
angles: 90.00 90.00 90.00
Space group P4/mmm (No. 123)
One atom of each set of equivalent atoms:
Nd 0.0000 0.0000 0.0000 x1
Np 0.0000 0.0000 0.5000 x1
In 0.0000 0.5000 0.2548 x4
In 0.5000 0.5000 0.0000 x1
In 0.5000 0.5000 0.5000 x1

Principal peaks in the range 10° ≤ 2θ ≤ 90°, in order of falling intensity:
- 33.18 deg, intensity 100, hkl 1 1 2
- 38.56 deg, intensity 33, hkl 2 0 0
- 66.38 deg, intensity 26, hkl 3 1 2
- 55.54 deg, intensity 22, hkl 2 0 4
- 38.39 deg, intensity 17, hkl 0 0 4
- 66.13 deg, intensity 13, hkl 1 1 6
- 69.65 deg, intensity 11, hkl 2 2 4
- 55.68 deg, intensity 11, hkl 2 2 0
- 18.98 deg, intensity 5, hkl 0 0 2
- 26.97 deg, intensity 4, hkl 1 1 0

=====

Entry 3:
Nd3InO6: calculated XRD peak list (CuKα), based on a DFT-relaxed cell (PBE, Alexandria).
No peak broadening, texture or thermal motion is included.

Structure:
abc: 9.3402 11.7101 5.7878
angles: 90.00 90.00 90.00
Space group Cmc2_1 (No. 36)
One atom of each set of equivalent atoms:
Nd 0.0000 0.1017 0.0000 x4
Nd 0.1951 0.3940 0.9502 x8
In 0.0000 0.3134 0.4303 x4
O 0.0000 0.2815 0.7794 x4
O 0.0000 0.4712 0.2546 x4
O 0.1597 0.0154 0.7246 x8
O 0.1623 0.2351 0.2338 x8

Principal peaks in the range 10° ≤ 2θ ≤ 90°, in order of falling intensity:
- 28.91 deg, intensity 100, hkl 2 2 1
- 29.21 deg, intensity 35, hkl 1 3 1
- 30.90 deg, intensity 21, hkl 0 0 2
- 48.65 deg, intensity 20, hkl 3 5 0
- 43.38 deg, intensity 17, hkl 3 1 2
- 56.91 deg, intensity 17, hkl 5 3 1
- 44.00 deg, intensity 16, hkl 0 4 2
- 53.74 deg, intensity 14, hkl 2 2 3
- 58.75 deg, intensity 13, hkl 3 5 2
- 29.69 deg, intensity 11, hkl 3 1 0

=====

Entry 4:
NdInTeO6: calculated XRD peak list (CuKα), based on a DFT-relaxed cell (PBE, Alexandria).
No peak broadening, texture or thermal motion is included.

Structure:
abc: 5.4501 5.4501 10.0814
angles: 90.00 90.00 120.00
Space group P-31c (No. 163)
One atom of each set of equivalent atoms:
Nd 0.0000 0.0000 0.0000 x2
In 0.3333 0.6667 0.2500 x2
Te 0.3333 0.6667 0.7500 x2
O 0.0323 0.3766 0.6396 x12

Principal peaks in the range 10° ≤ 2θ ≤ 90°, in order of falling intensity:
- 25.86 deg, intensity 100, hkl 1 0 2
- 49.25 deg, intensity 43, hkl 1 1 4
- 32.87 deg, intensity 43, hkl 1 1 0
- 42.29 deg, intensity 26, hkl 2 0 2
- 54.57 deg, intensity 25, hkl 2 1 2
- 58.68 deg, intensity 15, hkl 3 0 0
- 58.29 deg, intensity 10, hkl 1 0 6
- 74.95 deg, intensity 10, hkl 4 -1 2
- 80.06 deg, intensity 10, hkl 4 -2 4
- 70.57 deg, intensity 9, hkl 3 0 4

=====

Entry 5:
Nd4InOs: calculated XRD peak list (CuKα), based on a DFT-relaxed cell (PBE, Alexandria).
No peak broadening, texture or thermal motion is included.

Structure:
abc: 8.9521 13.6777 6.2929
angles: 90.00 108.33 90.00
Space group C2/c (No. 15)
One atom of each set of equivalent atoms:
Nd 0.1104 0.1694 0.0507 x8
Nd 0.2204 0.4249 0.3854 x8
In 0.0000 0.3768 0.7500 x4
Os 0.0000 0.0001 0.2500 x4

Principal peaks in the range 10° ≤ 2θ ≤ 90°, in order of falling intensity:
- 32.23 deg, intensity 100, hkl 2 2 1
- 12.26 deg, intensity 72, hkl 1 1 0
- 31.09 deg, intensity 66, hkl 3 1 -1
- 34.66 deg, intensity 61, hkl 1 3 -2
- 12.95 deg, intensity 51, hkl 0 2 0
- 36.31 deg, intensity 50, hkl 3 3 -1
- 34.44 deg, intensity 46, hkl 1 5 0
- 33.45 deg, intensity 38, hkl 2 2 -2
- 37.37 deg, intensity 35, hkl 3 3 0
- 29.14 deg, intensity 30, hkl 1 1 -2

=====

Entry 6:
NdPaIn6: calculated XRD peak list (CuKα), based on a DFT-relaxed cell (PBE, Alexandria).
No peak broadening, texture or thermal motion is included.

Structure:
abc: 4.6780 4.6780 9.3504
angles: 90.00 90.00 90.00
Space group P4/mmm (No. 123)
One atom of each set of equivalent atoms:
Nd 0.0000 0.0000 0.0000 x1
Pa 0.0000 0.0000 0.5000 x1
In 0.0000 0.5000 0.2533 x4
In 0.5000 0.5000 0.0000 x1
In 0.5000 0.5000 0.5000 x1

Principal peaks in the range 10° ≤ 2θ ≤ 90°, in order of falling intensity:
- 33.18 deg, intensity 100, hkl 1 1 2
- 38.50 deg, intensity 50, hkl 2 0 0
- 66.28 deg, intensity 39, hkl 3 1 2
- 55.58 deg, intensity 34, hkl 2 2 0
- 69.64 deg, intensity 11, hkl 2 2 4
- 82.50 deg, intensity 5, hkl 4 0 0
- 18.97 deg, intensity 5, hkl 0 0 2
- 26.96 deg, intensity 4, hkl 1 1 0
- 43.25 deg, intensity 2, hkl 2 0 2
- 47.63 deg, intensity 2, hkl 1 1 4

=====

Entry 7:
Nd3In2Pb: calculated XRD peak list (CuKα), based on a DFT-relaxed cell (PBE, Alexandria).
No peak broadening, texture or thermal motion is included.

Structure:
abc: 5.6575 16.9953 3.6961
angles: 90.00 90.00 90.00
Space group Pmmn (No. 59, origin choice 2)
One atom of each set of equivalent atoms:
Nd 0.2500 0.0828 0.9999 x4
Nd 0.2500 0.7500 0.0009 x2
In 0.2500 0.5818 0.5003 x4
Pb 0.2500 0.2500 0.4995 x2

Principal peaks in the range 10° ≤ 2θ ≤ 90°, in order of falling intensity:
- 32.98 deg, intensity 100, hkl 1 3 1
- 31.61 deg, intensity 56, hkl 2 0 0
- 57.17 deg, intensity 41, hkl 3 3 1
- 45.31 deg, intensity 21, hkl 2 6 0
- 59.76 deg, intensity 18, hkl 2 0 2
- 69.19 deg, intensity 12, hkl 2 6 2
- 75.03 deg, intensity 9, hkl 4 6 0
- 75.79 deg, intensity 9, hkl 3 9 1
- 49.31 deg, intensity 8, hkl 0 0 2
- 81.79 deg, intensity 7, hkl 1 3 3

=====

Entry 8:
Nd12In3Pb: calculated XRD peak list (CuKα), based on a DFT-relaxed cell (PBE, Alexandria).
No peak broadening, texture or thermal motion is included.

Structure:
abc: 4.9902 4.9902 19.9836
angles: 90.00 90.00 90.00
Space group P4/mmm (No. 123)
One atom of each set of equivalent atoms:
Nd 0.0000 0.0000 0.0000 x1
Nd 0.0000 0.0000 0.2496 x2
Nd 0.0000 0.0000 0.5000 x1
Nd 0.0000 0.5000 0.1251 x4
Nd 0.0000 0.5000 0.3745 x4
In 0.5000 0.5000 0.0000 x1
In 0.5000 0.5000 0.2495 x2
Pb 0.5000 0.5000 0.5000 x1

Principal peaks in the range 10° ≤ 2θ ≤ 90°, in order of falling intensity:
- 31.03 deg, intensity 100, hkl 1 1 4
- 35.98 deg, intensity 50, hkl 2 0 0
- 61.62 deg, intensity 42, hkl 3 1 4
- 51.80 deg, intensity 36, hkl 2 2 0
- 84.62 deg, intensity 17, hkl 3 3 4
- 87.36 deg, intensity 16, hkl 4 2 0
- 64.68 deg, intensity 12, hkl 2 2 8
- 76.33 deg, intensity 4, hkl 4 0 0
- 76.23 deg, intensity 2, hkl 0 0 16

=====

Entry 9:
Nd2In3Pb: calculated XRD peak list (CuKα), based on a DFT-relaxed cell (PBE, Alexandria).
No peak broadening, texture or thermal motion is included.

Structure:
abc: 3.6147 5.1633 9.0252
angles: 90.00 90.00 90.00
Space group Pmm2 (No. 25)
One atom of each set of equivalent atoms:
Nd 0.0000 0.0000 0.0000 x1
Nd 0.0000 0.5000 0.4897 x1
In 0.5000 0.0000 0.3262 x1
In 0.5000 0.0000 0.6533 x1
In 0.5000 0.5000 0.1679 x1
Pb 0.5000 0.5000 0.8300 x1

Principal peaks in the range 10° ≤ 2θ ≤ 90°, in order of falling intensity:
- 31.78 deg, intensity 100, hkl 1 1 1
- 34.50 deg, intensity 58, hkl 0 1 3
- 34.75 deg, intensity 29, hkl 0 2 0
- 47.75 deg, intensity 21, hkl 1 2 2
- 62.60 deg, intensity 20, hkl 2 1 3
- 47.50 deg, intensity 11, hkl 1 0 4
- 60.18 deg, intensity 11, hkl 1 2 4
- 62.76 deg, intensity 11, hkl 2 2 0
- 60.45 deg, intensity 11, hkl 1 3 1
- 62.13 deg, intensity 10, hkl 0 3 3

=====

Entry 10:
NdInSnPb: calculated XRD peak list (CuKα), based on a DFT-relaxed cell (PBE, Alexandria).
No peak broadening, texture or thermal motion is included.

Structure:
abc: 4.7787 4.8097 4.8503
angles: 90.00 90.00 90.00
Space group Pmmm (No. 47)
One atom of each set of equivalent atoms:
Nd 0.0000 0.0000 0.0000 x1
In 0.5000 0.5000 0.0000 x1
Sn 0.5000 0.0000 0.5000 x1
Pb 0.0000 0.5000 0.5000 x1

Principal peaks in the range 10° ≤ 2θ ≤ 90°, in order of falling intensity:
- 32.22 deg, intensity 100, hkl 1 1 1
- 37.07 deg, intensity 17, hkl 0 0 2
- 37.39 deg, intensity 17, hkl 0 2 0
- 37.65 deg, intensity 16, hkl 2 0 0
- 63.78 deg, intensity 14, hkl 1 1 3
- 64.22 deg, intensity 14, hkl 1 3 1
- 64.56 deg, intensity 14, hkl 3 1 1
- 67.41 deg, intensity 12, hkl 2 2 2
- 53.68 deg, intensity 12, hkl 0 2 2
- 53.87 deg, intensity 12, hkl 2 0 2

=====

Entry 11:
Nd6In2Pd: calculated XRD peak list (CuKα), based on a DFT-relaxed cell (PBE, Alexandria).
No peak broadening, texture or thermal motion is included.

Structure:
abc: 9.0094 9.0094 3.8781
angles: 90.00 90.00 120.00
Space group P-62m (No. 189)
One atom of each set of equivalent atoms:
Nd 0.0000 0.3994 0.0000 x3
Nd 0.0000 0.7497 0.5000 x3
In 0.3333 0.6667 0.5000 x2
Pd 0.0000 0.0000 0.0000 x1

Principal peaks in the range 10° ≤ 2θ ≤ 90°, in order of falling intensity:
- 30.41 deg, intensity 100, hkl 1 1 1
- 32.56 deg, intensity 78, hkl 2 0 1
- 30.31 deg, intensity 68, hkl 2 1 0
- 34.49 deg, intensity 49, hkl 3 0 0
- 56.63 deg, intensity 40, hkl 3 2 1
- 38.35 deg, intensity 35, hkl 2 1 1
- 56.83 deg, intensity 23, hkl 2 1 2
- 59.46 deg, intensity 20, hkl 3 0 2
- 46.85 deg, intensity 19, hkl 0 0 2
- 59.25 deg, intensity 16, hkl 5 0 0

=====

Entry 12:
Nd4In21Pd10: calculated XRD peak list (CuKα), based on a DFT-relaxed cell (PBE, Alexandria).
No peak broadening, texture or thermal motion is included.

Structure:
abc: 23.4094 4.5908 17.2172
angles: 90.00 124.02 90.00
Space group C2/m (No. 12)
One atom of each set of equivalent atoms:
Nd 0.1224 0.0000 0.3319 x4
Nd 0.2295 0.0000 0.8264 x4
In 0.0000 0.5000 0.5000 x2
In 0.0094 0.0000 0.0933 x4
In 0.0430 0.5000 0.3679 x4
In 0.0644 0.0000 0.7979 x4
In 0.1015 0.5000 0.9994 x4
In 0.1164 0.0000 0.5532 x4
In 0.1161 0.5000 0.7058 x4
In 0.1298 0.5000 0.1996 x4
In 0.2011 0.5000 0.5001 x4
In 0.2016 0.0000 0.0064 x4
In 0.2479 0.5000 0.7053 x4
Pd 0.0045 0.5000 0.1854 x4
Pd 0.0240 0.0000 0.6109 x4
Pd 0.1372 0.0000 0.1095 x4
Pd 0.1546 0.5000 0.8896 x4
Pd 0.2502 0.0000 0.6156 x4

Principal peaks in the range 10° ≤ 2θ ≤ 90°, in order of falling intensity:
- 39.25 deg, intensity 100, hkl 0 2 0
- 33.40 deg, intensity 73, hkl 5 1 1
- 34.12 deg, intensity 70, hkl 1 1 4
- 32.98 deg, intensity 54, hkl 5 1 -5
- 33.61 deg, intensity 40, hkl 7 1 -2
- 33.90 deg, intensity 39, hkl 7 1 -4
- 40.61 deg, intensity 37, hkl 1 1 -6
- 37.05 deg, intensity 32, hkl 8 0 0
- 42.51 deg, intensity 31, hkl 9 1 -6
- 33.15 deg, intensity 25, hkl 7 1 -3